Entry 1:
Theoretical X-ray diffraction stick pattern of Te5Mo4 for Cu Kα, 1.54184 Å, from a DFT-relaxed cell (PBE, Alexandria).

Structure:
```
data_Te5Mo4
_symmetry_space_group_name_H-M 'P 63/m c m'
_symmetry_Int_Tables_number 193
_symmetry_space_group_name_Hall '-P 6c 2'
_cell_length_a 8.2725
_cell_length_b 8.2725
_cell_length_c 6.2262
_cell_angle_alpha 90.00
_cell_angle_beta 90.00
_cell_angle_gamma 120.00
loop_
_atom_site_label
_atom_site_fract_x
_atom_site_fract_y
_atom_site_fract_z
_atom_site_occupancy
Te1 0.0000 0.2814 0.2500 1
Te2 0.3333 0.6667 0.0000 1
Mo1 0.0000 0.0000 0.0000 1
Mo2 0.0000 0.3692 0.7500 1
```

The 10 most intense peaks (10° ≤ 2θ ≤ 80°), in order of falling intensity:
2theta  d [Å]  I/Imax  index
36.1  2.486  100  1 1 2
37.7  2.388  59  3 0 0
53.2  1.723  21  2 2 2
72.5  1.304  17  3 0 4
67.0  1.397  14  4 1 2
48.1  1.893  8  3 1 1
59.4  1.557  7  0 0 4
55.8  1.647  7  2 1 3
75.4  1.260  7  5 1 1
58.0  1.589  6  3 2 1

---

Entry 2:
Theoretical X-ray diffraction stick pattern of Te2Mo for Cu Kα, 1.54184 Å, from a DFT-relaxed cell (PBE, Alexandria).

Structure:
```
data_Te2Mo
_symmetry_space_group_name_H-M 'P m n 21'
_symmetry_Int_Tables_number 31
_cell_length_a 3.4614
_cell_length_b 6.3851
_cell_length_c 15.1405
_cell_angle_alpha 90.00
_cell_angle_beta 90.00
_cell_angle_gamma 90.00
loop_
_symmetry_equiv_pos_as_xyz
'x,y,z'
'-x+1/2,-y,z+1/2'
'-x,y,z'
'x+1/2,-y,z+1/2'
loop_
_atom_site_label
_atom_site_fract_x
_atom_site_fract_y
_atom_site_fract_z
_atom_site_occupancy
Te1 0.0000 0.1442 0.0000 1
Te2 0.0000 0.3474 0.4609 1
Te3 0.0000 0.6995 0.2265 1
Te4 0.0000 0.7916 0.7655 1
Mo1 0.0000 0.4036 0.8570 1
Mo2 0.0000 0.9594 0.3695 1
```

The 10 most intense peaks (10° ≤ 2θ ≤ 80°), in order of falling intensity:
2theta  d [Å]  I/Imax  index
31.7  2.823  100  1 1 2
11.7  7.570  92  0 0 2
34.4  2.606  43  1 1 3
42.1  2.146  27  1 1 5
28.6  3.124  25  0 2 1
36.8  2.440  25  0 2 4
33.2  2.698  24  0 2 3
46.8  1.942  21  1 1 6
50.7  1.800  19  1 3 1
44.2  2.049  17  0 1 7

---

Entry 3:
Theoretical X-ray diffraction stick pattern of Te2Mo for Cu Kα, 1.54184 Å, from a DFT-relaxed cell (PBE, Alexandria).

Structure:
```
data_Te2Mo
_symmetry_space_group_name_H-M 'P -3 m 1'
_symmetry_Int_Tables_number 164
_symmetry_space_group_name_Hall '-P 3 2"'
_cell_length_a 3.5555
_cell_length_b 3.5555
_cell_length_c 14.9353
_cell_angle_alpha 90.00
_cell_angle_beta 90.00
_cell_angle_gamma 120.00
loop_
_atom_site_label
_atom_site_fract_x
_atom_site_fract_y
_atom_site_fract_z
_atom_site_occupancy
Te1 0.3333 0.6667 0.1282 1
Te2 0.3333 0.6667 0.3707 1
Mo1 0.3333 0.6667 0.7505 1
```

The 10 most intense peaks (10° ≤ 2θ ≤ 80°), in order of falling intensity:
2theta  d [Å]  I/Imax  index
34.2  2.619  100  1 0 3
42.1  2.144  70  1 0 5
11.9  7.468  51  0 0 2
29.0  3.079  46  1 0 0
51.4  1.778  36  1 1 0
73.6  1.287  24  1 1 8
23.8  3.734  18  0 0 4
63.2  1.471  16  0 2 3
68.6  1.368  16  0 2 5
29.6  3.016  14  1 0 1

---

Entry 4:
Theoretical X-ray diffraction stick pattern of TeMo6 for Cu Kα, 1.54184 Å, from a DFT-relaxed cell (PBE, Alexandria).

Structure:
```
data_TeMo6
_symmetry_space_group_name_H-M 'I 4/m m m'
_symmetry_Int_Tables_number 139
_symmetry_space_group_name_Hall '-I 4 2'
_cell_length_a 3.7274
_cell_length_b 3.7274
_cell_length_c 18.3295
_cell_angle_alpha 90.00
_cell_angle_beta 90.00
_cell_angle_gamma 90.00
loop_
_atom_site_label
_atom_site_fract_x
_atom_site_fract_y
_atom_site_fract_z
_atom_site_occupancy
Te1 0.0000 0.0000 0.0000 1
Mo1 0.0000 0.0000 0.2519 1
Mo2 0.0000 0.5000 0.1250 1
```

The 10 most intense peaks (10° ≤ 2θ ≤ 80°), in order of falling intensity:
2theta  d [Å]  I/Imax  index
39.4  2.285  100  1 1 4
48.9  1.864  26  2 0 0
39.3  2.291  25  0 0 8
64.4  1.446  23  2 0 8
71.4  1.322  17  1 1 12
24.4  3.653  10  1 0 1
71.6  1.318  9  2 2 0
28.0  3.182  9  1 0 3
34.3  2.614  4  1 0 5
42.2  2.143  3  1 0 7

---

Entry 5:
Theoretical X-ray diffraction stick pattern of Te3Mo for Cu Kα, 1.54184 Å, from a DFT-relaxed cell (PBE, Alexandria).

Structure:
```
data_Te3Mo
_symmetry_space_group_name_H-M 'P m m n'
_symmetry_Int_Tables_number 59
_cell_length_a 3.5619
_cell_length_b 8.4100
_cell_length_c 7.9531
_cell_angle_alpha 90.00
_cell_angle_beta 90.00
_cell_angle_gamma 90.00
loop_
_symmetry_equiv_pos_as_xyz
'x,y,z'
'-x,-y,-z'
'-x+1/2,-y+1/2,z'
'x+1/2,y+1/2,-z'
'x+1/2,-y,-z'
'-x+1/2,y,z'
'-x,y+1/2,-z'
'x,-y+1/2,z'
loop_
_atom_site_label
_atom_site_fract_x
_atom_site_fract_y
_atom_site_fract_z
_atom_site_occupancy
Te1 0.2500 0.0610 0.1729 1
Te2 0.2500 0.2500 0.7061 1
Mo1 0.2500 0.7500 0.0280 1
```

The 10 most intense peaks (10° ≤ 2θ ≤ 80°), in order of falling intensity:
2theta  d [Å]  I/Imax  index
11.1  7.953  100  0 0 1
34.9  2.572  55  1 2 1
33.9  2.644  50  0 3 1
35.5  2.530  49  1 1 2
33.8  2.653  42  1 0 2
40.2  2.243  35  0 2 3
42.6  2.123  28  1 3 1
62.9  1.477  17  2 3 1
22.4  3.977  15  0 0 2
51.3  1.781  15  2 0 0

---

Entry 6:
Theoretical X-ray diffraction stick pattern of TeMo6 for Cu Kα, 1.54184 Å, from a DFT-relaxed cell (PBE, Alexandria).

Structure:
```
data_TeMo6
_symmetry_space_group_name_H-M 'I 4/m m m'
_symmetry_Int_Tables_number 139
_symmetry_space_group_name_Hall '-I 4 2'
_cell_length_a 4.3278
_cell_length_b 4.3278
_cell_length_c 13.6874
_cell_angle_alpha 90.00
_cell_angle_beta 90.00
_cell_angle_gamma 90.00
loop_
_atom_site_label
_atom_site_fract_x
_atom_site_fract_y
_atom_site_fract_z
_atom_site_occupancy
Te1 0.0000 0.0000 0.0000 1
Mo1 0.0000 0.0000 0.2552 1
Mo2 0.0000 0.5000 0.1328 1
```

The 10 most intense peaks (10° ≤ 2θ ≤ 80°), in order of falling intensity:
2theta  d [Å]  I/Imax  index
39.5  2.281  100  1 1 4
41.7  2.164  44  2 0 0
74.7  1.271  30  3 1 4
70.1  1.342  16  2 0 8
60.5  1.530  14  2 2 0
21.5  4.126  14  1 0 1
12.9  6.844  10  0 0 2
28.4  3.140  10  1 0 3
53.6  1.711  9  0 0 8
51.3  1.782  7  1 0 7

---

Repeat the first record exactly.
Theoretical X-ray diffraction stick pattern of Te5Mo4 for Cu Kα, 1.54184 Å, from a DFT-relaxed cell (PBE, Alexandria).

Structure:
```
data_Te5Mo4
_symmetry_space_group_name_H-M 'P 63/m c m'
_symmetry_Int_Tables_number 193
_symmetry_space_group_name_Hall '-P 6c 2'
_cell_length_a 8.2725
_cell_length_b 8.2725
_cell_length_c 6.2262
_cell_angle_alpha 90.00
_cell_angle_beta 90.00
_cell_angle_gamma 120.00
loop_
_atom_site_label
_atom_site_fract_x
_atom_site_fract_y
_atom_site_fract_z
_atom_site_occupancy
Te1 0.0000 0.2814 0.2500 1
Te2 0.3333 0.6667 0.0000 1
Mo1 0.0000 0.0000 0.0000 1
Mo2 0.0000 0.3692 0.7500 1
```

The 10 most intense peaks (10° ≤ 2θ ≤ 80°), in order of falling intensity:
2theta  d [Å]  I/Imax  index
36.1  2.486  100  1 1 2
37.7  2.388  59  3 0 0
53.2  1.723  21  2 2 2
72.5  1.304  17  3 0 4
67.0  1.397  14  4 1 2
48.1  1.893  8  3 1 1
59.4  1.557  7  0 0 4
55.8  1.647  7  2 1 3
75.4  1.260  7  5 1 1
58.0  1.589  6  3 2 1